1.
Diffraction record for Tb2ZrH8. The powder XRD pattern is theoretical, not measured: it uses a DFT-relaxed cell (GGA-PBE, Alexandria) and CuKα.
Neutral-atom scattering factors, no anomalous dispersion.

Most intense lines, 5 to 70 degrees two-theta, most intense first:
| 2theta | I (rel.) | h k l |
| --- | --- | --- |
| 30.43 | 100 | 1 1 0 |
| 30.93 | 96 | 0 1 3 |
| 34.73 | 73 | 1 0 3 |
| 51.81 | 47 | 1 2 3 |
| 59.31 | 30 | 2 1 3 |
| 37.21 | 29 | 0 2 0 |
| 60.19 | 29 | 1 1 6 |
| 49.26 | 14 | 2 0 0 |

Atomic structure:
```
data_Tb2ZrH8
_chemical_formula_sum 'Tb4 Zr2 H16'
_cell_length_a 3.6996
_cell_length_b 4.8326
_cell_length_c 10.8247
_cell_angle_alpha 90.00
_cell_angle_beta 90.00
_cell_angle_gamma 90.00
_symmetry_space_group_name_H-M 'I m m m'
_symmetry_Int_Tables_number 71
_symmetry_space_group_name_Hall '-I 2 2'
loop_
_atom_site_label
_atom_site_type_symbol
_atom_site_fract_x
_atom_site_fract_y
_atom_site_fract_z
Tb1 Tb 0.0000 0.0000 0.1674
Zr1 Zr 0.0000 0.0000 0.5000
H1 H 0.0000 0.2542 0.3485
H2 H 0.0000 0.2614 0.0000
H3 H 0.0000 0.5000 0.1737
```

2.
Diffraction record for Ba3Ga2. The powder XRD pattern is theoretical, not measured: it uses a DFT-relaxed cell (GGA-PBE, Alexandria) and CuKα.
Neutral-atom scattering factors, no anomalous dispersion.

Most intense lines, 5 to 70 degrees two-theta, most intense first:
| 2theta | I (rel.) | h k l |
| --- | --- | --- |
| 26.28 | 100 | 1 1 1 |
| 27.16 | 82 | 0 4 1 |
| 48.21 | 47 | 2 4 1 |
| 24.97 | 43 | 1 3 0 |
| 34.25 | 35 | 0 0 2 |
| 30.32 | 31 | 1 3 1 |
| 37.23 | 26 | 1 5 1 |
| 39.03 | 24 | 2 0 0 |

Atomic structure:
```
data_Ba3Ga2
_chemical_formula_sum 'Ba6 Ga4'
_cell_length_a 4.6152
_cell_length_b 16.8548
_cell_length_c 5.2362
_cell_angle_alpha 90.00
_cell_angle_beta 90.00
_cell_angle_gamma 90.00
_symmetry_space_group_name_H-M 'C m m m'
_symmetry_Int_Tables_number 65
_symmetry_space_group_name_Hall '-C 2 2'
loop_
_atom_site_label
_atom_site_type_symbol
_atom_site_fract_x
_atom_site_fract_y
_atom_site_fract_z
Ba1 Ba 0.0000 0.0000 0.0000
Ba2 Ba 0.0000 0.3510 0.5000
Ga1 Ga 0.0000 0.2112 0.0000
```

3.
Diffraction record for Na3ReSe. The powder XRD pattern is theoretical, not measured: it uses a DFT-relaxed cell (GGA-PBE, Alexandria) and CuKα.
Neutral-atom scattering factors, no anomalous dispersion.

Most intense lines, 5 to 70 degrees two-theta, most intense first:
| 2theta | I (rel.) | h k l |
| --- | --- | --- |
| 23.06 | 100 | 1 1 0 |
| 40.51 | 46 | 2 1 1 |
| 32.84 | 41 | 2 0 0 |
| 47.13 | 29 | 2 2 0 |
| 63.86 | 25 | 3 2 1 |
| 28.34 | 22 | 1 1 1 |
| 53.10 | 21 | 3 1 0 |
| 16.25 | 11 | 1 0 0 |

Atomic structure:
```
data_Na3ReSe
_chemical_formula_sum 'Na3 Re1 Se1'
_cell_length_a 5.4542
_cell_length_b 5.4542
_cell_length_c 5.4542
_cell_angle_alpha 90.00
_cell_angle_beta 90.00
_cell_angle_gamma 90.00
_symmetry_space_group_name_H-M 'P m -3 m'
_symmetry_Int_Tables_number 221
_symmetry_space_group_name_Hall '-P 4 2 3'
loop_
_atom_site_label
_atom_site_type_symbol
_atom_site_fract_x
_atom_site_fract_y
_atom_site_fract_z
Na1 Na 0.0000 0.0000 0.5000
Re1 Re 0.5000 0.5000 0.5000
Se1 Se 0.0000 0.0000 0.0000
```

4.
Diffraction record for Sr5ZrTi4O15. The powder XRD pattern is theoretical, not measured: it uses a DFT-relaxed cell (GGA-PBE, Alexandria) and CuKα.
Neutral-atom scattering factors, no anomalous dispersion.

Most intense lines, 5 to 70 degrees two-theta, most intense first:
| 2theta | I (rel.) | h k l |
| --- | --- | --- |
| 31.68 | 100 | 1 1 0 |
| 45.41 | 39 | 0 2 10 |
| 56.45 | 28 | 3 0 0 |
| 39.05 | 15 | 2 0 5 |
| 66.23 | 12 | 2 2 0 |
| 66.09 | 11 | 2 0 20 |
| 56.32 | 9 | 0 1 20 |
| 25.61 | 1 | 1 0 7 |

Atomic structure:
```
data_Sr5ZrTi4O15
_chemical_formula_sum 'Sr15 Zr3 Ti12 O45'
_cell_length_a 5.6445
_cell_length_b 5.6445
_cell_length_c 34.6605
_cell_angle_alpha 90.00
_cell_angle_beta 90.00
_cell_angle_gamma 120.00
_symmetry_space_group_name_H-M 'R -3 m'
_symmetry_Int_Tables_number 166
_symmetry_space_group_name_Hall '-R 3 2"'
loop_
_atom_site_label
_atom_site_type_symbol
_atom_site_fract_x
_atom_site_fract_y
_atom_site_fract_z
Sr1 Sr 0.0000 0.0000 0.0000
Sr2 Sr 0.0000 0.0000 0.2032
Sr3 Sr 0.0000 0.0000 0.3977
Zr1 Zr 0.0000 0.0000 0.5000
Ti1 Ti 0.0000 0.0000 0.0983
Ti2 Ti 0.0000 0.0000 0.3005
O1 O 0.0000 0.5000 0.0000
O2 O 0.0017 0.5009 0.3987
O3 O 0.0102 0.5051 0.7977
```